Simulated powder diffractogram
Compound: ErTm3In3
Radiation: Cu Kα
Structure: the GGA-PBE geometry in Alexandria
Kinematic intensities with the Lorentz-polarization factor, no thermal factor.

Peak list (8 most intense, 5° ≤ 2θ ≤ 70°, sorted by position)
29.68°, I = 24, (1 2 0); 34.54°, I = 100, (1 2 1); 34.92°, I = 24, (0 0 2); 46.47°, I = 14, (1 2 2); 52.67°, I = 15, (4 1 0); 62.38°, I = 20, (1 2 3); 64.53°, I = 8, (2 4 1); 64.77°, I = 16, (4 1 2)

Structure:
```
data_ErTm3In3
_space_group_name_H-M_alt 'P 63/m'
_space_group_IT_number 176
_space_group_name_Hall '-P 6c'
_cell_length_a 9.1949
_cell_length_b 9.1949
_cell_length_c 5.1381
_cell_angle_alpha 90.00
_cell_angle_beta 90.00
_cell_angle_gamma 120.00
loop_
_atom_site_label
_atom_site_type_symbol
_atom_site_fract_x
_atom_site_fract_y
_atom_site_fract_z
_atom_site_occupancy
Er1 Er 0.3333 0.6667 0.2500 1
Tm1 Tm 0.0056 0.7736 0.2500 1
In1 In 0.0735 0.6186 0.7500 1
```


Simulated powder diffractogram
Compound: VCoSe3
Radiation: Cu Kα
Structure: the GGA-PBE geometry in Alexandria
Kinematic intensities with the Lorentz-polarization factor, no thermal factor.

Peak list (8 most intense, 5° ≤ 2θ ≤ 70°, sorted by position)
7.88°, I = 100, (0 2 0); 15.83°, I = 80, (0 4 0); 30.63°, I = 30, (1 4 0); 31.95°, I = 41, (0 7 1); 32.71°, I = 71, (1 3 1); 44.14°, I = 32, (1 4 2); 48.54°, I = 40, (1 10 0); 56.25°, I = 30, (1 3 3)

Structure:
```
data_VCoSe3
_space_group_name_H-M_alt 'A m a 2'
_space_group_IT_number 40
_cell_length_a 3.421
_cell_length_b 22.426
_cell_length_c 5.767
_cell_angle_alpha 90.00
_cell_angle_beta 90.00
_cell_angle_gamma 90.00
loop_
_space_group_symop_operation_xyz
'x,y,z'
'-x,-y,z'
'-x+1/2,y,z'
'x+1/2,-y,z'
'x,y+1/2,z+1/2'
'-x,-y+1/2,z+1/2'
'-x+1/2,y+1/2,z+1/2'
'x+1/2,-y+1/2,z+1/2'
loop_
_atom_site_label
_atom_site_type_symbol
_atom_site_fract_x
_atom_site_fract_y
_atom_site_fract_z
_atom_site_occupancy
V1 V 0.250 0.171 0.000 1
Co1 Co 0.250 0.367 0.828 1
Se1 Se 0.250 0.076 0.199 1
Se2 Se 0.250 0.269 0.710 1
Se3 Se 0.250 0.365 0.219 1
```


Simulated powder diffractogram
Compound: NdHo2Au4
Radiation: Cu Kα
Structure: the GGA-PBE geometry in Alexandria
Kinematic intensities with the Lorentz-polarization factor, no thermal factor.

Peak list (8 most intense, 5° ≤ 2θ ≤ 70°, sorted by position)
25.23°, I = 8, (0 2 1); 29.85°, I = 8, (1 3 0); 35.54°, I = 100, (0 0 2); 36.44°, I = 17, (0 4 0); 51.80°, I = 13, (0 4 2); 63.26°, I = 7, (4 0 2); 63.82°, I = 20, (2 2 3); 65.00°, I = 10, (2 6 1)

Structure:
```
data_NdHo2Au4
_space_group_name_H-M_alt 'C m m m'
_space_group_IT_number 65
_space_group_name_Hall '-C 2 2'
_cell_length_a 7.229
_cell_length_b 9.863
_cell_length_c 5.055
_cell_angle_alpha 90.00
_cell_angle_beta 90.00
_cell_angle_gamma 90.00
loop_
_atom_site_label
_atom_site_type_symbol
_atom_site_fract_x
_atom_site_fract_y
_atom_site_fract_z
_atom_site_occupancy
Nd1 Nd 0.000 0.000 0.000 1
Ho1 Ho 0.000 0.284 0.500 1
Au1 Au 0.216 0.000 0.500 1
Au2 Au 0.250 0.250 0.000 1
```